Record 1
Calculated powder diffractogram of Ba2NpO5 for copper Kα, from a crystal structure in Alexandria, relaxed with GGA-PBE.
Intensities are scaled so that the largest is 100.

Peak list (10 most intense, 10° ≤ 2θ ≤ 90°, in order of falling intensity)
2θ/deg	d/Å	I_rel	hkl
29.5	3.028	100	1 1 1
14.4	6.172	78	1 0 0
28.9	3.086	45	2 0 0
51.6	1.770	42	3 1 1
25.6	3.475	30	1 0 1
41.4	2.182	29	2 2 0
32.4	2.760	20	2 1 0
39.0	2.307	18	2 1 1
52.7	1.737	18	2 0 2
61.2	1.514	17	2 2 2

Cell and atoms:
```
data_Ba2NpO5
_symmetry_space_group_name_H-M 'P 4/m m m'
_symmetry_Int_Tables_number 123
_symmetry_space_group_name_Hall '-P 4 2'
_cell_length_a 6.1716
_cell_length_b 6.1716
_cell_length_c 4.2049
_cell_angle_alpha 90.00
_cell_angle_beta 90.00
_cell_angle_gamma 90.00
loop_
_atom_site_label
_atom_site_type_symbol
_atom_site_fract_x
_atom_site_fract_y
_atom_site_fract_z
Ba1 Ba 0.0000 0.5000 0.0000
Np1 Np 0.0000 0.0000 0.5000
O1 O 0.0000 0.0000 0.0000
O2 O 0.2321 0.2321 0.5000
```

Record 2
Calculated powder diffractogram of RbLiCu2H3S2O10 for copper Kα, from a crystal structure in Alexandria, relaxed with GGA-PBE.
Intensities are scaled so that the largest is 100.

Peak list (10 most intense, 10° ≤ 2θ ≤ 90°, in order of falling intensity)
2θ/deg	d/Å	I_rel	hkl
24.5	3.629	100	2 0 1
19.1	4.642	73	2 0 -1
30.6	2.925	65	0 2 1
27.2	3.277	55	1 1 -2
38.7	2.325	41	2 2 -2
30.7	2.910	41	3 1 -1
31.3	2.861	40	3 1 0
46.4	1.957	39	0 2 3
36.1	2.485	31	2 0 -3
34.2	2.625	25	2 0 2

Cell and atoms:
```
data_RbLiCu2H3S2O10
_symmetry_space_group_name_H-M 'C 1 m 1'
_symmetry_Int_Tables_number 8
_cell_length_a 9.9663
_cell_length_b 6.3625
_cell_length_c 7.7097
_cell_angle_alpha 90.00
_cell_angle_beta 105.18
_cell_angle_gamma 90.00
loop_
_symmetry_equiv_pos_as_xyz
'x,y,z'
'x,-y,z'
'x+1/2,y+1/2,z'
'x+1/2,-y+1/2,z'
loop_
_atom_site_label
_atom_site_type_symbol
_atom_site_fract_x
_atom_site_fract_y
_atom_site_fract_z
Rb1 Rb 0.0000 0.0000 0.0000
Li1 Li 0.1630 0.5000 0.2269
Cu1 Cu 0.3169 0.2469 0.5530
H1 H 0.1521 0.0000 0.6777
H2 H 0.2918 0.0000 0.8307
H3 H 0.4144 0.5000 0.3680
S1 S 0.1197 0.5000 0.7903
S2 S 0.4076 0.0000 0.2310
O1 O 0.0350 0.3066 0.7351
O2 O 0.1828 0.5000 0.9870
O3 O 0.2376 0.5000 0.6972
O4 O 0.2533 0.0000 0.6955
O5 O 0.3068 0.0000 0.0514
O6 O 0.3234 0.0000 0.3712
O7 O 0.3343 0.5000 0.4184
O8 O 0.4991 0.1885 0.2575
```

Record 3
Calculated powder diffractogram of RbInI2Br for copper Kα, from a crystal structure in Alexandria, relaxed with GGA-PBE.
Intensities are scaled so that the largest is 100.

Peak list (10 most intense, 10° ≤ 2θ ≤ 90°, in order of falling intensity)
2θ/deg	d/Å	I_rel	hkl
29.1	3.069	100	2 0 0
25.7	3.463	88	1 1 1
43.1	2.097	67	2 0 2
31.1	2.873	42	0 0 2
41.6	2.170	37	2 2 0
52.9	1.731	36	2 2 2
15.4	5.745	31	0 0 1
49.6	1.839	28	3 1 1
77.0	1.238	24	4 2 2
14.4	6.137	24	1 0 0

Cell and atoms:
```
data_RbInI2Br
_symmetry_space_group_name_H-M 'P 4/m m m'
_symmetry_Int_Tables_number 123
_symmetry_space_group_name_Hall '-P 4 2'
_cell_length_a 6.1371
_cell_length_b 6.1371
_cell_length_c 5.7453
_cell_angle_alpha 90.00
_cell_angle_beta 90.00
_cell_angle_gamma 90.00
loop_
_atom_site_label
_atom_site_type_symbol
_atom_site_fract_x
_atom_site_fract_y
_atom_site_fract_z
Rb1 Rb 0.0000 0.0000 0.0000
In1 In 0.5000 0.5000 0.5000
I1 I 0.0000 0.5000 0.5000
Br1 Br 0.5000 0.5000 0.0000
```

Record 4
Calculated powder diffractogram of CaLa2Nd2Y2 for copper Kα, from a crystal structure in Alexandria, relaxed with GGA-PBE.
Intensities are scaled so that the largest is 100.

Peak list (10 most intense, 10° ≤ 2θ ≤ 90°, in order of falling intensity)
2θ/deg	d/Å	I_rel	hkl
29.6	3.018	100	1 1 2
34.4	2.609	33	4 0 1
49.3	1.849	18	2 2 -3
34.2	2.624	17	0 2 0
58.4	1.581	14	1 3 2
58.7	1.574	14	5 1 3
49.2	1.851	12	4 2 1
80.0	1.200	8	5 3 3
58.5	1.577	7	7 1 0
58.8	1.571	7	1 1 -5

Cell and atoms:
```
data_CaLa2Nd2Y2
_symmetry_space_group_name_H-M 'C 1 2/m 1'
_symmetry_Int_Tables_number 12
_cell_length_a 11.6940
_cell_length_b 5.2483
_cell_length_c 8.2316
_cell_angle_alpha 90.00
_cell_angle_beta 98.21
_cell_angle_gamma 90.00
loop_
_symmetry_equiv_pos_as_xyz
'x,y,z'
'-x,-y,-z'
'-x,y,-z'
'x,-y,z'
'x+1/2,y+1/2,z'
'-x+1/2,-y+1/2,-z'
'-x+1/2,y+1/2,-z'
'x+1/2,-y+1/2,z'
loop_
_atom_site_label
_atom_site_type_symbol
_atom_site_fract_x
_atom_site_fract_y
_atom_site_fract_z
Ca1 Ca 0.0000 0.0000 0.0000
La1 La 0.1456 0.0000 0.4319
Nd1 Nd 0.2164 0.5000 0.1457
Y1 Y 0.0749 0.5000 0.7081
```

Record 5
Calculated powder diffractogram of Tb7Cd2Au2 for copper Kα, from a crystal structure in Alexandria, relaxed with GGA-PBE.
Intensities are scaled so that the largest is 100.

Peak list (10 most intense, 10° ≤ 2θ ≤ 90°, in order of falling intensity)
2θ/deg	d/Å	I_rel	hkl
36.8	2.443	100	2 2 2
32.1	2.788	53	0 4 0
36.1	2.487	52	1 3 2
25.2	3.540	47	2 0 1
27.8	3.205	30	1 1 2
27.3	3.270	29	2 2 0
60.3	1.534	28	0 4 4
32.9	2.718	23	2 0 2
29.1	3.069	23	0 2 2
49.6	1.838	21	0 0 4

Cell and atoms:
```
data_Tb7Cd2Au2
_symmetry_space_group_name_H-M 'C m m m'
_symmetry_Int_Tables_number 65
_symmetry_space_group_name_Hall '-C 2 2'
_cell_length_a 8.0766
_cell_length_b 11.1503
_cell_length_c 7.3524
_cell_angle_alpha 90.00
_cell_angle_beta 90.00
_cell_angle_gamma 90.00
loop_
_atom_site_label
_atom_site_type_symbol
_atom_site_fract_x
_atom_site_fract_y
_atom_site_fract_z
Tb1 Tb 0.0000 0.0000 0.0000
Tb2 Tb 0.0000 0.5000 0.2561
Tb3 Tb 0.2500 0.2500 0.2668
Cd1 Cd 0.1725 0.0000 0.5000
Au1 Au 0.0000 0.2941 0.0000
```

Record 6
Calculated powder diffractogram of Ti3GaPt4 for copper Kα, from a crystal structure in Alexandria, relaxed with GGA-PBE.
Intensities are scaled so that the largest is 100.

Peak list (10 most intense, 10° ≤ 2θ ≤ 90°, in order of falling intensity)
2θ/deg	d/Å	I_rel	hkl
42.3	2.139	100	2 2 1
26.7	3.335	43	2 0 1
39.1	2.307	36	4 0 0
38.6	2.335	34	1 0 2
72.9	1.297	22	6 2 1
80.5	1.193	21	4 4 0
32.1	2.787	19	0 2 0
47.9	1.899	18	3 0 2
67.2	1.394	17	0 4 0
20.8	4.278	14	1 0 1

Cell and atoms:
```
data_Ti3GaPt4
_symmetry_space_group_name_H-M 'P m m a'
_symmetry_Int_Tables_number 51
_cell_length_a 9.2264
_cell_length_b 5.5746
_cell_length_c 4.8280
_cell_angle_alpha 90.00
_cell_angle_beta 90.00
_cell_angle_gamma 90.00
loop_
_symmetry_equiv_pos_as_xyz
'x,y,z'
'-x,-y,-z'
'-x+1/2,-y,z'
'x+1/2,y,-z'
'x+1/2,-y,-z'
'-x+1/2,y,z'
'-x,y,-z'
'x,-y,z'
loop_
_atom_site_label
_atom_site_type_symbol
_atom_site_fract_x
_atom_site_fract_y
_atom_site_fract_z
Ti1 Ti 0.0000 0.0000 0.0000
Ti2 Ti 0.2500 0.0000 0.3866
Ti3 Ti 0.2500 0.5000 0.3784
Ga1 Ga 0.0000 0.5000 0.0000
Pt1 Pt 0.0000 0.2493 0.5000
Pt2 Pt 0.2500 0.2488 0.8788
```

Record 7
Calculated powder diffractogram of DySbS3 for copper Kα, from a crystal structure in Alexandria, relaxed with GGA-PBE.
Intensities are scaled so that the largest is 100.

Peak list (10 most intense, 10° ≤ 2θ ≤ 90°, in order of falling intensity)
2θ/deg	d/Å	I_rel	hkl
31.6	2.829	100	1 1 -2
18.1	4.907	54	0 0 2
44.8	2.024	53	3 1 0
31.4	2.850	50	2 0 2
27.5	3.247	32	1 1 1
45.5	1.993	32	1 1 4
27.4	3.259	27	1 1 -1
25.8	3.448	23	1 1 0
45.9	1.976	23	0 2 0
45.2	2.004	22	1 1 -4

Cell and atoms:
```
data_DySbS3
_symmetry_space_group_name_H-M 'P 1 21/m 1'
_symmetry_Int_Tables_number 11
_cell_length_a 7.0677
_cell_length_b 3.9501
_cell_length_c 9.8143
_cell_angle_alpha 90.00
_cell_angle_beta 90.72
_cell_angle_gamma 90.00
loop_
_symmetry_equiv_pos_as_xyz
'x,y,z'
'-x,-y,-z'
'-x,y+1/2,-z'
'x,-y+1/2,z'
loop_
_atom_site_label
_atom_site_type_symbol
_atom_site_fract_x
_atom_site_fract_y
_atom_site_fract_z
Dy1 Dy 0.0754 0.2500 0.1767
Sb1 Sb 0.4115 0.2500 0.8131
S1 S 0.1018 0.2500 0.6824
S2 S 0.2203 0.7500 0.0086
S3 S 0.4253 0.2500 0.3153
```

Record 8
Calculated powder diffractogram of GeRhF2 for copper Kα, from a crystal structure in Alexandria, relaxed with GGA-PBE.
Intensities are scaled so that the largest is 100.

Peak list (10 most intense, 10° ≤ 2θ ≤ 90°, in order of falling intensity)
2θ/deg	d/Å	I_rel	hkl
37.9	2.376	100	0 1 2
22.7	3.916	63	0 0 6
40.2	2.243	54	1 0 4
54.3	1.688	36	1 0 10
48.7	1.871	34	0 1 8
46.4	1.958	22	0 0 12
66.8	1.401	21	1 1 0
85.2	1.139	20	1 1 12
71.5	1.319	17	1 1 6
67.9	1.380	16	0 1 14

Cell and atoms:
```
data_GeRhF2
_symmetry_space_group_name_H-M 'R -3 m'
_symmetry_Int_Tables_number 166
_symmetry_space_group_name_Hall '-R 3 2"'
_cell_length_a 2.8019
_cell_length_b 2.8019
_cell_length_c 23.4981
_cell_angle_alpha 90.00
_cell_angle_beta 90.00
_cell_angle_gamma 120.00
loop_
_atom_site_label
_atom_site_type_symbol
_atom_site_fract_x
_atom_site_fract_y
_atom_site_fract_z
Ge1 Ge 0.0000 0.0000 0.0000
Rh1 Rh 0.0000 0.0000 0.5000
F1 F 0.0000 0.0000 0.4138
```

Record 9
Calculated powder diffractogram of MoPt3 for copper Kα, from a crystal structure in Alexandria, relaxed with GGA-PBE.
Intensities are scaled so that the largest is 100.

Peak list (10 most intense, 10° ≤ 2θ ≤ 90°, in order of falling intensity)
2θ/deg	d/Å	I_rel	hkl
39.4	2.287	100	1 0 2
46.4	1.957	32	1 1 0
81.2	1.184	25	2 1 2
66.3	1.409	21	1 1 4
44.7	2.029	17	0 0 4
78.7	1.216	13	1 0 6
84.8	1.144	11	2 0 4
67.7	1.384	10	2 0 0
10.9	8.118	5	0 0 1
34.2	2.620	5	1 0 1

Cell and atoms:
```
data_MoPt3
_symmetry_space_group_name_H-M 'P 4/m m m'
_symmetry_Int_Tables_number 123
_symmetry_space_group_name_Hall '-P 4 2'
_cell_length_a 2.7683
_cell_length_b 2.7683
_cell_length_c 8.1178
_cell_angle_alpha 90.00
_cell_angle_beta 90.00
_cell_angle_gamma 90.00
loop_
_atom_site_label
_atom_site_type_symbol
_atom_site_fract_x
_atom_site_fract_y
_atom_site_fract_z
Mo1 Mo 0.0000 0.0000 0.0000
Pt1 Pt 0.0000 0.0000 0.5000
Pt2 Pt 0.5000 0.5000 0.2395
```

Record 10
Calculated powder diffractogram of Pr3HoCu4 for copper Kα, from a crystal structure in Alexandria, relaxed with GGA-PBE.
Intensities are scaled so that the largest is 100.

Peak list (10 most intense, 10° ≤ 2θ ≤ 90°, in order of falling intensity)
2θ/deg	d/Å	I_rel	hkl
35.4	2.533	100	1 0 4
35.6	2.521	51	1 1 0
63.9	1.458	35	2 1 4
51.2	1.783	18	2 0 0
63.5	1.465	16	1 1 8
25.0	3.565	16	1 0 0
75.0	1.266	10	2 0 8
24.7	3.599	9	0 0 4
50.7	1.799	8	0 0 8
43.8	2.065	8	1 1 4

Cell and atoms:
```
data_Pr3HoCu4
_symmetry_space_group_name_H-M 'P 4/m m m'
_symmetry_Int_Tables_number 123
_symmetry_space_group_name_Hall '-P 4 2'
_cell_length_a 3.5651
_cell_length_b 3.5651
_cell_length_c 14.3954
_cell_angle_alpha 90.00
_cell_angle_beta 90.00
_cell_angle_gamma 90.00
loop_
_atom_site_label
_atom_site_type_symbol
_atom_site_fract_x
_atom_site_fract_y
_atom_site_fract_z
Pr1 Pr 0.0000 0.0000 0.0000
Pr2 Pr 0.0000 0.0000 0.2554
Ho1 Ho 0.0000 0.0000 0.5000
Cu1 Cu 0.5000 0.5000 0.1271
Cu2 Cu 0.5000 0.5000 0.3896
```

Record 11
Calculated powder diffractogram of Cs2CeBr2F4 for copper Kα, from a crystal structure in Alexandria, relaxed with GGA-PBE.
Intensities are scaled so that the largest is 100.

Peak list (10 most intense, 10° ≤ 2θ ≤ 90°, in order of falling intensity)
2θ/deg	d/Å	I_rel	hkl
23.7	3.754	100	2 0 0
30.1	2.964	83	2 0 2
33.8	2.655	62	2 2 0
24.9	3.575	51	1 1 2
38.7	2.326	36	2 1 3
14.9	5.931	33	1 0 1
44.6	2.034	31	2 0 4
51.1	1.788	29	2 2 4
54.7	1.679	24	4 2 0
52.3	1.749	22	3 2 3

Cell and atoms:
```
data_Cs2CeBr2F4
_symmetry_space_group_name_H-M 'I 4/m m m'
_symmetry_Int_Tables_number 139
_symmetry_space_group_name_Hall '-I 4 2'
_cell_length_a 7.5084
_cell_length_b 7.5084
_cell_length_c 9.6727
_cell_angle_alpha 90.00
_cell_angle_beta 90.00
_cell_angle_gamma 90.00
loop_
_atom_site_label
_atom_site_type_symbol
_atom_site_fract_x
_atom_site_fract_y
_atom_site_fract_z
Cs1 Cs 0.0000 0.5000 0.2500
Ce1 Ce 0.0000 0.0000 0.0000
Br1 Br 0.0000 0.0000 0.2948
F1 F 0.2016 0.2016 0.0000
```

Record 12
Calculated powder diffractogram of AcHo4Ge4 for copper Kα, from a crystal structure in Alexandria, relaxed with GGA-PBE.
Intensities are scaled so that the largest is 100.

Peak list (10 most intense, 10° ≤ 2θ ≤ 90°, in order of falling intensity)
2θ/deg	d/Å	I_rel	hkl
29.8	3.002	100	1 3 0
42.6	2.124	55	3 0 2
26.1	3.412	54	2 1 1
32.6	2.743	53	1 0 2
37.6	2.393	36	2 3 1
18.1	4.906	29	1 0 1
58.3	1.583	24	4 3 2
50.9	1.795	21	1 4 2
30.9	2.896	18	2 2 1
33.7	2.659	17	3 1 1

Cell and atoms:
```
data_AcHo4Ge4
_symmetry_space_group_name_H-M 'P 42/n'
_symmetry_Int_Tables_number 86
_cell_length_a 9.4942
_cell_length_b 9.4942
_cell_length_c 5.7306
_cell_angle_alpha 90.00
_cell_angle_beta 90.00
_cell_angle_gamma 90.00
loop_
_symmetry_equiv_pos_as_xyz
'x,y,z'
'-x,-y,-z'
'-y,x+1/2,z+1/2'
'y,-x+1/2,-z+1/2'
'-x+1/2,-y+1/2,z'
'x+1/2,y+1/2,-z'
'y+1/2,-x,z+1/2'
'-y+1/2,x,-z+1/2'
loop_
_atom_site_label
_atom_site_type_symbol
_atom_site_fract_x
_atom_site_fract_y
_atom_site_fract_z
Ac1 Ac 0.2500 0.2500 0.2500
Ho1 Ho 0.1099 0.6331 0.1353
Ge1 Ge 0.0629 0.5829 0.6478
```

Record 13
Calculated powder diffractogram of LiNi6W for copper Kα, from a crystal structure in Alexandria, relaxed with GGA-PBE.
Intensities are scaled so that the largest is 100.

Peak list (10 most intense, 10° ≤ 2θ ≤ 90°, in order of falling intensity)
2θ/deg	d/Å	I_rel	hkl
43.8	2.069	100	2 4 0
51.0	1.791	47	4 0 0
75.0	1.266	23	0 8 0
15.2	5.848	17	1 1 0
23.2	3.832	12	1 1 2
19.6	4.531	10	0 2 1
31.8	2.810	8	2 2 1
26.4	3.379	7	0 0 3
38.7	2.326	5	3 1 0
34.3	2.616	5	1 3 2

Cell and atoms:
```
data_LiNi6W
_symmetry_space_group_name_H-M 'C m m m'
_symmetry_Int_Tables_number 65
_symmetry_space_group_name_Hall '-C 2 2'
_cell_length_a 7.1623
_cell_length_b 10.1277
_cell_length_c 10.1448
_cell_angle_alpha 90.00
_cell_angle_beta 90.00
_cell_angle_gamma 90.00
loop_
_atom_site_label
_atom_site_type_symbol
_atom_site_fract_x
_atom_site_fract_y
_atom_site_fract_z
Li1 Li 0.0000 0.0000 0.2459
Li2 Li 0.0000 0.2544 0.0000
Ni1 Ni 0.0000 0.0000 0.0000
Ni2 Ni 0.0000 0.0000 0.5000
Ni3 Ni 0.0000 0.2503 0.2506
Ni4 Ni 0.0000 0.5000 0.0000
Ni5 Ni 0.0000 0.5000 0.5000
Ni6 Ni 0.2489 0.1253 0.1250
Ni7 Ni 0.2499 0.1246 0.3754
W1 W 0.0000 0.2512 0.5000
W2 W 0.0000 0.5000 0.2396
```